Simulated XRD peak list
Compound: CeSe2
Radiation: Cu Kα (weighted mean of Kα1 and Kα2)
Structure: a crystal structure in the Materials Project, relaxed with PBE
Neutral-atom scattering factors, no anomalous dispersion.

Most intense lines, 5 to 70 degrees two-theta, in order of rising 2θ:
2θ (°)	intensity	index
14.12	100	1 0 1
23.36	30	3 0 1
27.48	63	2 1 1
31.26	35	3 1 1
35.32	32	2 1 2
41.29	35	5 1 1
41.66	24	0 2 0
43.69	25	0 1 3
44.21	27	1 1 3
45.25	25	6 1 0

Structure:
```
data_CeSe2
_chemical_formula_sum 'Ce4 Se8'
_space_group_name_H-M_alt 'P 1'
_space_group_IT_number 1
_cell_length_a 13.559
_cell_length_b 4.336
_cell_length_c 7.076
_cell_angle_alpha 90.00
_cell_angle_beta 90.00
_cell_angle_gamma 90.00
loop_
_space_group_symop_operation_xyz
'x,y,z'
loop_
_atom_site_label
_atom_site_fract_x
_atom_site_fract_y
_atom_site_fract_z
Ce1 0.134 0.250 0.051
Ce2 0.366 0.750 0.551
Ce3 0.634 0.250 0.449
Ce4 0.866 0.750 0.949
Se1 0.025 0.750 0.215
Se2 0.234 0.750 0.869
Se3 0.266 0.250 0.369
Se4 0.475 0.250 0.715
Se5 0.525 0.750 0.285
Se6 0.734 0.750 0.631
Se7 0.766 0.250 0.131
Se8 0.975 0.250 0.785
```

---

Simulated XRD peak list
Compound: Rb3Ho
Radiation: Cu Kα (weighted mean of Kα1 and Kα2)
Structure: a crystal structure in the Materials Project, relaxed with PBE
Neutral-atom scattering factors, no anomalous dispersion.

Most intense lines, 5 to 70 degrees two-theta, in order of rising 2θ:
2θ (°)	intensity	index
14.99	6	1 1 1
17.33	4	2 0 0
24.60	100	2 2 0
28.93	4	3 1 1
35.07	20	4 0 0
43.31	44	4 2 2
50.44	14	4 4 0
56.90	19	6 2 0
62.91	5	4 4 4
68.62	22	6 4 2

Structure:
```
data_Rb3Ho
_chemical_formula_sum 'Rb12 Ho4'
_space_group_name_H-M_alt 'P 1'
_space_group_IT_number 1
_cell_length_a 10.235
_cell_length_b 10.235
_cell_length_c 10.235
_cell_angle_alpha 90.00
_cell_angle_beta 90.00
_cell_angle_gamma 90.00
loop_
_space_group_symop_operation_xyz
'x,y,z'
loop_
_atom_site_label
_atom_site_fract_x
_atom_site_fract_y
_atom_site_fract_z
Rb1 0.000 0.000 0.000
Rb2 0.000 0.500 0.500
Rb3 0.250 0.250 0.250
Rb4 0.250 0.250 0.750
Rb5 0.250 0.750 0.250
Rb6 0.250 0.750 0.750
Rb7 0.500 0.000 0.500
Rb8 0.500 0.500 0.000
Rb9 0.750 0.250 0.250
Rb10 0.750 0.250 0.750
Rb11 0.750 0.750 0.250
Rb12 0.750 0.750 0.750
Ho1 0.000 0.000 0.500
Ho2 0.000 0.500 0.000
Ho3 0.500 0.000 0.000
Ho4 0.500 0.500 0.500
```

---

Simulated XRD peak list
Compound: MgSi2Ag8O8
Radiation: Cu Kα (weighted mean of Kα1 and Kα2)
Structure: a crystal structure in the Materials Project, relaxed with PBE
Neutral-atom scattering factors, no anomalous dispersion.

Most intense lines, 5 to 70 degrees two-theta, in order of rising 2θ:
2θ (°)	intensity	index
19.48	52	0 1 1
19.72	33	1 1 0
31.90	32	1 2 0
32.33	31	1 1 -2
32.79	100	2 1 -1
34.31	75	1 1 2
35.14	49	1 2 1
39.55	36	0 2 2
41.55	44	1 0 -3
44.10	31	3 1 0

Structure:
```
data_MgSi2Ag8O8
_chemical_formula_sum 'Mg1 Si2 Ag8 O8'
_space_group_name_H-M_alt 'P 1'
_space_group_IT_number 1
_cell_length_a 6.553
_cell_length_b 6.214
_cell_length_c 6.729
_cell_angle_alpha 90.00
_cell_angle_beta 95.02
_cell_angle_gamma 90.00
loop_
_space_group_symop_operation_xyz
'x,y,z'
loop_
_atom_site_label
_atom_site_fract_x
_atom_site_fract_y
_atom_site_fract_z
Mg1 0.000 0.000 0.000
Si1 0.000 0.830 0.500
Si2 0.500 0.154 0.000
Ag1 0.154 0.407 0.253
Ag2 0.209 0.580 0.892
Ag3 0.296 0.146 0.571
Ag4 0.428 0.778 0.282
Ag5 0.572 0.778 0.718
Ag6 0.704 0.146 0.429
Ag7 0.791 0.580 0.108
Ag8 0.846 0.407 0.747
O1 0.052 0.995 0.314
O2 0.207 0.678 0.553
O3 0.300 0.992 0.988
O4 0.492 0.316 0.801
O5 0.508 0.316 0.199
O6 0.700 0.992 0.012
O7 0.793 0.678 0.447
O8 0.948 0.995 0.686
```